This entry pairs a crystal structure of TiVAuI2 with its theoretical powder diffraction line list. Radiation: Cu Ka. Structure: the PBE geometry in Alexandria.
No peak broadening, texture or thermal motion is included.

Principal peaks in the range 2θ from 15° to 90°, low angle first:
16.50°, intensity 38, (1 0 0); 29.20°, intensity 100, (1 1 1); 33.36°, intensity 53, (2 0 0); 34.79°, intensity 24, (0 0 2); 47.90°, intensity 19, (2 2 0); 48.97°, intensity 35, (2 0 2); 57.09°, intensity 30, (3 1 1); 58.97°, intensity 14, (1 1 3); 60.55°, intensity 19, (2 2 2); 79.29°, intensity 12, (3 1 3)

Structural model:
```
TiVAuI2
1.0
5.3710 0.0000 0.0000
0.0000 5.3710 0.0000
0.0000 0.0000 5.1575
Ti V Au I
1 1 1 2
Direct
0.0000 0.0000 0.0000 Ti
0.5000 0.5000 0.5000 V
0.5000 0.5000 0.0000 Au
0.0000 0.5000 0.5000 I
0.5000 0.0000 0.5000 I
```